No. 1
# W2Br13
Theoretical XRD peak list, Cu Kα. Input: a structure optimized by DFT (GGA-PBE).
Lines closer than 0.1° are merged.

Structural model:
```
W2Br13
1.0
6.9036 0.0000 0.0000
-2.4579 9.1685 0.0000
-2.2609 -3.6851 8.9874
W Br
2 13
Cartesian
0.1316 2.5466 1.9325 W
2.0533 2.9368 7.0549 W
-1.8725 3.6686 2.8060 Br
-0.8382 0.3537 2.6948 Br
-1.7147 6.8589 0.2926 Br
1.3894 -1.2669 4.0211 Br
1.1881 4.7193 1.5135 Br
2.2336 1.3818 1.4327 Br
1.0924 2.7417 4.4937 Br
-0.0487 4.1016 7.5547 Br
0.9967 0.7641 7.4738 Br
0.7955 6.7503 4.9663 Br
3.8996 -1.3755 8.6947 Br
3.0231 5.1297 6.2926 Br
4.0574 1.8148 6.1814 Br
```

Peak list (8 most intense, 5° ≤ 2θ ≤ 70°, by angle)
- 2θ 10.4, I 453, hkl 0 1 0
- 2θ 11.3, I 302, hkl 0 1 -1
- 2θ 14.3, I 1000, hkl 1 0 -1
- 2θ 16.9, I 481, hkl 0 1 1
- 2θ 19.7, I 349, hkl 1 0 1
- 2θ 27.3, I 544, hkl 1 2 -2
- 2θ 30.0, I 371, hkl -2 2 1
- 2θ 48.6, I 253, hkl 0 3 -5

No. 2
# YWBr
Theoretical XRD peak list, Cu Kα. Input: a structure optimized by DFT (GGA-PBE).
Lines closer than 0.1° are merged.

Structural model:
```
YWBr
1.0
4.8234 0.0000 0.0000
-2.4117 4.1772 0.0000
0.0000 0.0000 3.1356
Y W Br
1 1 1
Cartesian
0.0000 0.0000 0.0000 Y
2.4117 1.3924 1.5678 W
0.0000 2.7848 1.5678 Br
```

Peak list (8 most intense, 5° ≤ 2θ ≤ 70°, by angle)
- 2θ 21.3, I 282, hkl 1 0 0
- 2θ 28.5, I 159, hkl 0 0 1
- 2θ 35.8, I 1000, hkl 1 0 1
- 2θ 37.3, I 986, hkl 1 1 0
- 2θ 47.6, I 238, hkl 1 1 1
- 2θ 52.7, I 331, hkl 2 0 1
- 2θ 66.3, I 329, hkl 2 1 1
- 2θ 67.2, I 173, hkl 3 0 0